[1]
Be4Cu5: theoretical powder X-ray diffraction pattern (Cu Kα, 1.54184 Å), based on a crystal structure in Alexandria, relaxed with PBE.

Structure:
```
Be4Cu5
1.0
-1.365 4.014 4.142
1.365 -4.014 4.142
1.365 4.014 -4.142
Be Cu
4 5
Direct
0.005 0.832 0.174
0.342 0.168 0.174
0.658 0.832 0.826
0.995 0.168 0.826
0.000 0.500 0.500
0.311 0.811 0.500
0.323 0.500 0.823
0.677 0.500 0.177
0.689 0.189 0.500
```

Principal peaks in the range 2θ = 5–70°, sorted by position:
21.45 deg, 4.142 Å, intensity 27.9
22.14 deg, 4.014 Å, intensity 33.6
31.02 deg, 2.883 Å, intensity 29.3
34.34 deg, 2.611 Å, intensity 29.7
34.59 deg, 2.593 Å, intensity 39.1
34.70 deg, 2.585 Å, intensity 34.5
35.24 deg, 2.547 Å, intensity 35.8
46.79 deg, 1.942 Å, intensity 100.0
47.30 deg, 1.922 Å, intensity 95.0
47.57 deg, 1.911 Å, intensity 99.5

[2]
Be3Cu: theoretical powder X-ray diffraction pattern (Cu Kα, 1.54184 Å), based on a crystal structure in Alexandria, relaxed with PBE.

Structure:
```
Be3Cu
1.0
2.589 0.000 0.000
0.000 2.589 0.000
0.000 0.000 5.267
Be Cu
3 1
Direct
0.000 0.000 0.000
0.500 0.500 0.231
0.500 0.500 0.769
0.000 0.000 0.500
```

Principal peaks in the range 2θ = 5–70°, sorted by position:
16.83 deg, 5.267 Å, intensity 100.0
34.04 deg, 2.634 Å, intensity 20.0
34.65 deg, 2.589 Å, intensity 37.8
38.76 deg, 2.324 Å, intensity 57.8
49.36 deg, 1.846 Å, intensity 49.4
49.81 deg, 1.831 Å, intensity 24.2
52.09 deg, 1.756 Å, intensity 6.3
52.95 deg, 1.729 Å, intensity 20.4
61.71 deg, 1.503 Å, intensity 12.9
64.08 deg, 1.453 Å, intensity 9.8

[3]
DyBeCu4: theoretical powder X-ray diffraction pattern (Cu Kα, 1.54184 Å), based on a crystal structure in Alexandria, relaxed with PBE.

Structure:
```
DyBeCu4
1.0
5.065 0.000 0.000
-2.533 4.387 0.000
0.000 0.000 3.881
Dy Be Cu
1 1 4
Direct
0.000 0.000 0.000
0.333 0.667 0.000
0.009 0.504 0.500
0.496 0.504 0.500
0.496 0.991 0.500
0.667 0.333 0.000
```

Principal peaks in the range 2θ = 5–70°, sorted by position:
20.24 deg, 4.387 Å, intensity 16.4
30.76 deg, 2.907 Å, intensity 100.0
35.44 deg, 2.533 Å, intensity 23.4
41.16 deg, 2.193 Å, intensity 62.1
42.63 deg, 2.121 Å, intensity 92.8
46.81 deg, 1.941 Å, intensity 24.8
60.06 deg, 1.540 Å, intensity 10.2
60.74 deg, 1.525 Å, intensity 26.7
64.07 deg, 1.453 Å, intensity 31.9
68.58 deg, 1.368 Å, intensity 21.8

[4]
DyBe6Cu12: theoretical powder X-ray diffraction pattern (Cu Kα, 1.54184 Å), based on a crystal structure in Alexandria, relaxed with PBE.

Structure:
```
DyBe6Cu12
1.0
5.001 2.887 2.623
-5.001 2.887 2.623
0.000 -5.774 2.623
Dy Be Cu
1 6 12
Direct
0.000 0.000 0.000
0.243 0.243 0.698
0.243 0.698 0.243
0.302 0.757 0.757
0.698 0.243 0.243
0.757 0.302 0.757
0.757 0.757 0.302
0.123 0.500 0.877
0.123 0.877 0.500
0.173 0.440 0.440
0.440 0.173 0.440
0.440 0.440 0.173
0.500 0.123 0.877
0.500 0.877 0.123
0.560 0.560 0.827
0.560 0.827 0.560
0.827 0.560 0.560
0.877 0.123 0.500
0.877 0.500 0.123
```

Principal peaks in the range 2θ = 5–70°, sorted by position:
30.70 deg, 2.912 Å, intensity 39.8
30.97 deg, 2.887 Å, intensity 23.8
38.76 deg, 2.323 Å, intensity 55.8
39.21 deg, 2.298 Å, intensity 100.0
44.17 deg, 2.050 Å, intensity 20.3
46.79 deg, 1.942 Å, intensity 17.5
50.98 deg, 1.791 Å, intensity 8.9
51.52 deg, 1.774 Å, intensity 8.4
55.10 deg, 1.667 Å, intensity 14.7
58.19 deg, 1.585 Å, intensity 21.6

[5]
DyBe2Cu9: theoretical powder X-ray diffraction pattern (Cu Kα, 1.54184 Å), based on a crystal structure in Alexandria, relaxed with PBE.

Structure:
```
DyBe2Cu9
1.0
-4.928 4.928 3.155
4.928 -4.928 3.155
4.928 4.928 -3.155
Dy Be Cu
2 4 18
Direct
0.375 0.625 0.750
0.625 0.375 0.250
0.000 0.000 0.000
0.000 0.000 0.500
0.000 0.500 0.000
0.500 0.000 0.500
0.125 0.875 0.250
0.142 0.568 0.330
0.142 0.812 0.575
0.188 0.262 0.330
0.188 0.858 0.925
0.262 0.188 0.830
0.262 0.432 0.075
0.432 0.262 0.575
0.432 0.858 0.170
0.568 0.142 0.830
0.568 0.738 0.425
0.738 0.568 0.925
0.738 0.812 0.170
0.812 0.142 0.075
0.812 0.738 0.670
0.858 0.188 0.425
0.858 0.432 0.670
0.875 0.125 0.750
```

Principal peaks in the range 2θ = 5–70°, sorted by position:
25.56 deg, 3.484 Å, intensity 24.8
30.68 deg, 2.914 Å, intensity 28.3
31.11 deg, 2.874 Å, intensity 16.4
35.80 deg, 2.508 Å, intensity 18.2
40.35 deg, 2.235 Å, intensity 19.0
40.69 deg, 2.217 Å, intensity 100.0
40.95 deg, 2.204 Å, intensity 74.6
44.02 deg, 2.057 Å, intensity 23.1
46.78 deg, 1.942 Å, intensity 17.7
48.38 deg, 1.881 Å, intensity 27.3

[6]
DyErBeCu: theoretical powder X-ray diffraction pattern (Cu Kα, 1.54184 Å), based on a crystal structure in Alexandria, relaxed with PBE.

Structure:
```
DyErBeCu
1.0
0.000 3.426 3.426
3.426 0.000 3.426
3.426 3.426 0.000
Dy Er Be Cu
1 1 1 1
Direct
0.000 0.000 0.000
0.500 0.500 0.500
0.250 0.250 0.250
0.750 0.750 0.750
```

Principal peaks in the range 2θ = 5–70°, sorted by position:
22.47 deg, 3.956 Å, intensity 6.0
26.01 deg, 3.426 Å, intensity 48.6
37.11 deg, 2.423 Å, intensity 100.0
43.82 deg, 2.066 Å, intensity 3.1
45.88 deg, 1.978 Å, intensity 14.5
53.49 deg, 1.713 Å, intensity 17.3
58.74 deg, 1.572 Å, intensity 1.2
60.42 deg, 1.532 Å, intensity 19.6
66.90 deg, 1.399 Å, intensity 35.1

[7]
Er2Be3Cu17: theoretical powder X-ray diffraction pattern (Cu Kα, 1.54184 Å), based on a crystal structure in Alexandria, relaxed with PBE.

Structure:
```
Er2Be3Cu17
1.0
4.486 2.590 4.255
-4.486 2.590 4.255
0.000 -5.180 4.255
Er Be Cu
2 3 17
Direct
0.171 0.171 0.171
0.829 0.829 0.829
0.000 0.000 0.500
0.000 0.500 0.000
0.500 0.000 0.000
0.000 0.500 0.500
0.164 0.164 0.668
0.164 0.668 0.164
0.230 0.500 0.770
0.230 0.770 0.500
0.332 0.836 0.836
0.403 0.403 0.403
0.500 0.000 0.500
0.500 0.230 0.770
0.500 0.500 0.000
0.500 0.770 0.230
0.597 0.597 0.597
0.668 0.164 0.164
0.770 0.230 0.500
0.770 0.500 0.230
0.836 0.332 0.836
0.836 0.836 0.332
```

Principal peaks in the range 2θ = 5–70°, sorted by position:
28.92 deg, 3.087 Å, intensity 48.9
34.63 deg, 2.590 Å, intensity 35.9
40.20 deg, 2.243 Å, intensity 88.6
40.79 deg, 2.212 Å, intensity 100.0
41.80 deg, 2.161 Å, intensity 20.6
42.49 deg, 2.127 Å, intensity 44.8
45.73 deg, 1.984 Å, intensity 26.7
47.17 deg, 1.927 Å, intensity 22.7
58.61 deg, 1.575 Å, intensity 32.9
59.93 deg, 1.544 Å, intensity 27.8

[8]
Er2Be5Cu5: theoretical powder X-ray diffraction pattern (Cu Kα, 1.54184 Å), based on a crystal structure in Alexandria, relaxed with PBE.

Structure:
```
Er2Be5Cu5
1.0
3.863 0.000 0.000
0.000 4.730 0.000
0.000 0.000 8.584
Er Be Cu
2 5 5
Direct
0.000 0.000 0.000
0.000 0.500 0.500
0.500 0.000 0.500
0.500 0.248 0.255
0.500 0.248 0.745
0.500 0.752 0.255
0.500 0.752 0.745
0.000 0.000 0.332
0.000 0.000 0.668
0.000 0.500 0.183
0.000 0.500 0.817
0.500 0.500 0.000
```

Principal peaks in the range 2θ = 5–70°, sorted by position:
20.69 deg, 4.292 Å, intensity 16.2
23.02 deg, 3.863 Å, intensity 70.4
31.67 deg, 2.825 Å, intensity 39.0
36.70 deg, 2.449 Å, intensity 48.7
38.05 deg, 2.365 Å, intensity 32.9
43.77 deg, 2.068 Å, intensity 100.0
44.94 deg, 2.017 Å, intensity 29.1
47.05 deg, 1.931 Å, intensity 20.4
61.11 deg, 1.516 Å, intensity 20.4
62.04 deg, 1.496 Å, intensity 15.0

[9]
Er2Be3GaCu12: theoretical powder X-ray diffraction pattern (Cu Kα, 1.54184 Å), based on a crystal structure in Alexandria, relaxed with PBE.

Structure:
```
Er2Be3GaCu12
1.0
3.750 2.165 5.784
-3.750 2.165 5.784
0.000 -4.330 5.784
Er Be Ga Cu
2 3 1 12
Direct
0.099 0.099 0.099
0.901 0.901 0.901
0.000 0.500 0.500
0.500 0.000 0.500
0.500 0.500 0.000
0.500 0.500 0.500
0.103 0.633 0.633
0.162 0.162 0.603
0.162 0.603 0.162
0.367 0.367 0.897
0.367 0.897 0.367
0.397 0.838 0.838
0.603 0.162 0.162
0.633 0.103 0.633
0.633 0.633 0.103
0.838 0.397 0.838
0.838 0.838 0.397
0.897 0.367 0.367
```

Principal peaks in the range 2θ = 5–70°, sorted by position:
14.56 deg, 6.083 Å, intensity 18.8
27.95 deg, 3.192 Å, intensity 13.4
28.36 deg, 3.147 Å, intensity 14.5
29.18 deg, 3.061 Å, intensity 25.8
34.50 deg, 2.600 Å, intensity 100.0
37.95 deg, 2.371 Å, intensity 31.4
38.10 deg, 2.362 Å, intensity 26.1
48.55 deg, 1.875 Å, intensity 56.8
50.61 deg, 1.804 Å, intensity 26.2
60.92 deg, 1.521 Å, intensity 14.7

[10]
ErBeGaCu6: theoretical powder X-ray diffraction pattern (Cu Kα, 1.54184 Å), based on a crystal structure in Alexandria, relaxed with PBE.

Structure:
```
ErBeGaCu6
1.0
-3.084 3.930 5.484
3.084 -3.930 5.484
3.084 3.930 -5.484
Er Be Ga Cu
2 2 2 12
Direct
0.453 0.203 0.250
0.547 0.797 0.750
0.000 0.000 0.000
0.500 0.000 0.500
0.000 0.000 0.500
0.000 0.500 0.000
0.108 0.413 0.292
0.108 0.815 0.694
0.175 0.925 0.250
0.275 0.525 0.750
0.379 0.185 0.792
0.379 0.587 0.194
0.621 0.413 0.806
0.621 0.815 0.208
0.725 0.475 0.250
0.825 0.075 0.750
0.892 0.185 0.306
0.892 0.587 0.708
```

Principal peaks in the range 2θ = 5–70°, sorted by position:
27.93 deg, 3.194 Å, intensity 22.4
32.23 deg, 2.777 Å, intensity 67.7
36.60 deg, 2.455 Å, intensity 54.4
37.06 deg, 2.426 Å, intensity 100.0
37.68 deg, 2.387 Å, intensity 62.7
39.93 deg, 2.258 Å, intensity 34.5
40.10 deg, 2.249 Å, intensity 73.8
46.21 deg, 1.965 Å, intensity 75.4
50.40 deg, 1.811 Å, intensity 27.6
52.20 deg, 1.752 Å, intensity 20.8

[11]
BeCuF5: theoretical powder X-ray diffraction pattern (Cu Kα, 1.54184 Å), based on a crystal structure in Alexandria, relaxed with PBE.

Structure:
```
BeCuF5
1.0
3.651 -3.595 0.000
3.651 3.595 0.000
-3.593 0.000 6.280
Be Cu F
2 2 10
Direct
0.129 0.871 0.750
0.871 0.129 0.250
0.000 0.500 0.000
0.500 0.000 0.500
0.157 0.629 0.838
0.162 0.175 0.435
0.175 0.162 0.935
0.341 0.659 0.250
0.371 0.843 0.662
0.629 0.157 0.338
0.659 0.341 0.750
0.825 0.838 0.065
0.838 0.825 0.565
0.843 0.371 0.162
```

Principal peaks in the range 2θ = 5–70°, sorted by position:
18.75 deg, 4.734 Å, intensity 100.0
24.77 deg, 3.595 Å, intensity 34.9
27.43 deg, 3.252 Å, intensity 83.5
28.16 deg, 3.169 Å, intensity 12.3
28.40 deg, 3.143 Å, intensity 56.0
40.26 deg, 2.240 Å, intensity 17.6
45.06 deg, 2.012 Å, intensity 27.7
45.28 deg, 2.003 Å, intensity 25.2
50.01 deg, 1.824 Å, intensity 17.4
56.59 deg, 1.626 Å, intensity 22.0

[12]
NaBe2CuF8: theoretical powder X-ray diffraction pattern (Cu Kα, 1.54184 Å), based on a crystal structure in Alexandria, relaxed with PBE.

Structure:
```
NaBe2CuF8
1.0
3.932 -2.655 0.000
3.932 2.655 0.000
-0.070 0.000 6.995
Na Be Cu F
1 2 1 8
Direct
0.000 0.000 0.000
0.360 0.360 0.720
0.640 0.640 0.280
0.000 0.000 0.500
0.230 0.724 0.701
0.240 0.240 0.539
0.276 0.770 0.299
0.281 0.281 0.912
0.719 0.719 0.088
0.724 0.230 0.701
0.760 0.760 0.461
0.770 0.276 0.299
```

Principal peaks in the range 2θ = 5–70°, sorted by position:
12.65 deg, 6.995 Å, intensity 100.0
20.18 deg, 4.401 Å, intensity 69.5
22.61 deg, 3.932 Å, intensity 36.5
23.83 deg, 3.734 Å, intensity 68.5
26.11 deg, 3.413 Å, intensity 32.8
32.61 deg, 2.746 Å, intensity 26.9
32.80 deg, 2.731 Å, intensity 44.2
38.29 deg, 2.351 Å, intensity 30.1
42.76 deg, 2.115 Å, intensity 60.8
46.17 deg, 1.966 Å, intensity 27.2